Er2CuGe2O8: computed powder diffractogram (λ = 1.5418 Å (Cu Kα)), based on a structure optimized by DFT (GGA-PBE).
No peak broadening, texture or thermal motion is included.

Principal peaks in the range 2θ from 15° to 90°, sorted by position:
h k l  Position (°2θ)  intensity
1 1 -1  18.22  38
1 3 -1  24.81  46
1 1 1  27.96  100
3 1 -1  29.00  92
2 4 0  32.37  90
1 3 1  32.75  25
1 5 -1  34.59  95
2 0 -2  34.85  42
4 0 0  44.26  35
0 4 2  47.63  42
4 4 -2  48.95  48
3 5 -3  62.31  23

Cell and atoms:
Cell: 9.508 15.010 5.152 Å, 90.00 120.58 90.00°
Space group Cm (No. 8)
Unique sites:
Er  0.000  0.120  0.000 [4 per cell]
Er  0.005  0.380  0.554 [4 per cell]
Cu  0.302  0.207  0.855 [4 per cell]
Ge  0.249  0.288  0.303 [4 per cell]
Ge  0.269  0.500  0.244 [2 per cell]
Ge  0.282  0.000  0.867 [2 per cell]
O  0.064  0.268  0.295 [4 per cell]
O  0.095  0.000  0.872 [2 per cell]
O  0.100  0.500  0.873 [2 per cell]
O  0.251  0.169  0.155 [4 per cell]
O  0.259  0.330  0.977 [4 per cell]
O  0.273  0.408  0.474 [4 per cell]
O  0.296  0.094  0.671 [4 per cell]
O  0.424  0.259  0.667 [4 per cell]
O  0.438  0.000  0.255 [2 per cell]
O  0.442  0.500  0.197 [2 per cell]